Simulated PXRD pattern of NiAs for Cu Kα, from a cell relaxed with PBE.

Principal peaks in the range 5 to 70 degrees two-theta, by angle:
| 2θ (°) | I/Imax |
| --- | --- |
| 28.19 | 13 |
| 33.48 | 100 |
| 46.20 | 95 |
| 49.89 | 71 |
| 58.29 | 1 |
| 61.42 | 17 |
| 62.91 | 16 |

Atomic structure:
Unit cell a=3.656 b=3.656 c=5.011 alpha=90.00 beta=90.00 gamma=120.00
Positions (direct):
Ni 0.000 0.000 0.000
Ni 0.000 0.000 0.500
As 0.333 0.667 0.250
As 0.667 0.333 0.750